Record 1
Diffraction record for CeTh3Co2. The powder X-ray diffraction pattern is simulated, not measured: it uses a GGA-PBE-relaxed structure and CuKα.
Lines closer than 0.1° are merged.

Crystal structure
a = 7.0994 Å, b = 7.0994 Å, c = 7.3667 Å
α = 105.13°, β = 105.13°, γ = 56.15°
Positions (direct):
Ce1 0.2489 0.7511 0.7500
Ce2 0.7511 0.2489 0.2500
Th1 0.2182 0.2223 0.6103
Th2 0.2223 0.2182 0.1103
Th3 0.2519 0.7481 0.2500
Th4 0.7481 0.2519 0.7500
Th5 0.7777 0.7818 0.8897
Th6 0.7818 0.7777 0.3897
Co1 0.3809 0.3843 0.4412
Co2 0.3843 0.3809 0.9412
Co3 0.6157 0.6191 0.0588
Co4 0.6191 0.6157 0.5588

Largest 6 diffraction maxima, low angle first, 10° ≤ 2θ ≤ 90°:
2θ (°)  I (rel.)
29.9  29
30.6  100
31.5  58
33.1  64
37.1  60
41.2  32


Record 2
Diffraction record for Tb4HoTm3. The powder X-ray diffraction pattern is simulated, not measured: it uses a GGA-PBE-relaxed structure and CuKα.
Lines closer than 0.1° are merged.

Crystal structure
a = 11.1626 Å, b = 7.2112 Å, c = 6.2353 Å
α = 90.00°, β = 90.00°, γ = 90.00°
Positions (direct):
Tb1 0.0000 0.1270 0.0000
Tb2 0.0000 0.8734 0.4981
Tb3 0.2492 0.8735 0.8329
Tb4 0.2508 0.1265 0.3329
Tb5 0.5000 0.1266 0.9981
Tb6 0.5000 0.8730 0.5000
Tb7 0.7492 0.1265 0.3329
Tb8 0.7508 0.8735 0.8329
Ho1 0.0000 0.3766 0.5001
Ho2 0.5000 0.6234 0.0001
Tm1 0.0000 0.6229 0.9998
Tm2 0.2501 0.3767 0.8325
Tm3 0.2499 0.6233 0.3325
Tm4 0.5000 0.3771 0.4998
Tm5 0.7499 0.3767 0.8325
Tm6 0.7501 0.6233 0.3325

Largest 6 diffraction maxima, low angle first, 10° ≤ 2θ ≤ 90°:
2θ (°)  I (rel.)
28.6  24
32.1  24
32.9  100
50.7  20
57.7  20
61.2  23


Record 3
Diffraction record for Tb3YMg6. The powder X-ray diffraction pattern is simulated, not measured: it uses a GGA-PBE-relaxed structure and CuKα.
Lines closer than 0.1° are merged.

Crystal structure
a = 9.2944 Å, b = 5.2744 Å, c = 11.2611 Å
α = 90.00°, β = 105.49°, γ = 90.00°
Positions (direct):
Tb1 0.0403 0.2500 0.3969
Tb2 0.1479 0.7500 0.2041
Tb3 0.2504 0.2500 0.0055
Tb4 0.7496 0.7500 0.9945
Tb5 0.8521 0.2500 0.7959
Tb6 0.9597 0.7500 0.6031
Y1 0.4485 0.2500 0.6029
Y2 0.5515 0.7500 0.3971
Mg1 0.0590 0.7500 0.8998
Mg2 0.1612 0.2500 0.7076
Mg3 0.2574 0.7500 0.5079
Mg4 0.3547 0.7500 0.8049
Mg5 0.3560 0.2500 0.3037
Mg6 0.4531 0.7500 0.0991
Mg7 0.5469 0.2500 0.9009
Mg8 0.6440 0.7500 0.6963
Mg9 0.6453 0.2500 0.1951
Mg10 0.7426 0.2500 0.4921
Mg11 0.8388 0.7500 0.2924
Mg12 0.9410 0.2500 0.1002

Largest 6 diffraction maxima, low angle first, 10° ≤ 2θ ≤ 90°:
2θ (°)  I (rel.)
23.4  40
23.8  67
33.5  67
33.7  100
34.0  33
60.6  24


Record 4
Diffraction record for Sn2Bi4Pb3. The powder X-ray diffraction pattern is simulated, not measured: it uses a GGA-PBE-relaxed structure and CuKα.
Lines closer than 0.1° are merged.

Crystal structure
a = 9.9430 Å, b = 9.9430 Å, c = 6.2411 Å
α = 97.99°, β = 97.99°, γ = 77.83°
Positions (direct):
Sn1 0.1019 0.3239 0.4613
Sn2 0.3239 0.1019 0.9613
Sn3 0.6761 0.8981 0.0387
Sn4 0.8981 0.6761 0.5387
Bi1 0.0251 0.2970 0.9369
Bi2 0.2336 0.5933 0.5389
Bi3 0.2970 0.0251 0.4369
Bi4 0.4067 0.7664 0.9611
Bi5 0.5933 0.2336 0.0389
Bi6 0.7030 0.9749 0.5631
Bi7 0.7664 0.4067 0.4611
Bi8 0.9749 0.7030 0.0631
Pb1 0.0497 0.9503 0.7500
Pb2 0.2877 0.4696 0.0234
Pb3 0.4696 0.2877 0.5234
Pb4 0.5304 0.7123 0.4766
Pb5 0.7123 0.5304 0.9766
Pb6 0.9503 0.0497 0.2500

Largest 6 diffraction maxima, low angle first, 10° ≤ 2θ ≤ 90°:
2θ (°)  I (rel.)
28.6  60
29.1  80
29.4  60
30.2  100
32.8  72
33.4  100


Record 5
Diffraction record for PaH8Ir2Pd. The powder X-ray diffraction pattern is simulated, not measured: it uses a GGA-PBE-relaxed structure and CuKα.
Lines closer than 0.1° are merged.

Crystal structure
a = 4.9189 Å, b = 4.9189 Å, c = 5.9545 Å
α = 109.45°, β = 109.45°, γ = 50.13°
Positions (direct):
Pa1 0.0000 0.0000 0.0000
H1 0.1222 0.6156 0.2501
H2 0.1820 0.1820 0.3813
H3 0.3667 0.3667 0.9889
H4 0.3844 0.8778 0.7499
H5 0.6156 0.1222 0.2501
H6 0.6333 0.6333 0.0111
H7 0.8180 0.8180 0.6187
H8 0.8778 0.3844 0.7499
Ir1 0.2611 0.2611 0.6934
Ir2 0.7389 0.7389 0.3066
Pd1 0.5000 0.5000 0.5000

Largest 6 diffraction maxima, low angle first, 10° ≤ 2θ ≤ 90°:
2θ (°)  I (rel.)
21.5  22
31.1  100
31.6  34
37.4  55
43.4  21
43.7  20


Record 6
Diffraction record for Al8H. The powder X-ray diffraction pattern is simulated, not measured: it uses a GGA-PBE-relaxed structure and CuKα.
Lines closer than 0.1° are merged.

Crystal structure
a = 5.7062 Å, b = 5.7062 Å, c = 4.7858 Å
α = 90.00°, β = 90.00°, γ = 120.00°
Positions (direct):
Al1 0.1695 0.3390 0.2396
Al2 0.1695 0.8305 0.2396
Al3 0.3333 0.6667 0.7393
Al4 0.3390 0.1695 0.7604
Al5 0.6610 0.8305 0.2396
Al6 0.6667 0.3333 0.2607
Al7 0.8305 0.1695 0.7604
Al8 0.8305 0.6610 0.7604
H1 0.0000 0.0000 0.5000

Largest 6 diffraction maxima, low angle first, 10° ≤ 2θ ≤ 90°:
2θ (°)  I (rel.)
36.4  23
37.6  28
41.1  100
65.4  17
70.2  19
78.0  19